This entry pairs a crystal structure of K2Mo3O10 with its calculated PXRD pattern. Radiation: Cu Kα, 1.54184 Å. Structure: the PBE+U geometry in Alexandria.
Intensities are scaled so that the largest is 100.

Most intense lines, 10° ≤ 2θ ≤ 80°, by angle:
2theta, Rel. int., index
12.38, 100, 2 0 0
16.53, 75, 1 1 1
22.78, 43, 1 1 -2
24.47, 48, 1 1 2
25.04, 72, 3 1 1
26.11, 87, 2 2 -1
29.58, 82, 4 0 -2
33.22, 28, 5 1 0
41.76, 20, 1 1 -4
45.40, 15, 7 1 -1
46.16, 35, 1 3 3
51.09, 14, 3 3 3

Cell and atoms:
Lattice parameters (Å, degrees): 14.448 8.276 8.961 90.00 99.05 90.00
Space group C2/c (No. 15)
Inequivalent atoms, fractional coordinates:
K  0.182  0.093  0.158 x8
Mo  0.000  0.203  0.750 x4
Mo  0.106  0.420  0.514 x8
O  0.025  0.409  0.912 x8
O  0.056  0.072  0.888 x8
O  0.119  0.259  0.674 x8
O  0.128  0.308  0.359 x8
O  0.205  0.461  0.074 x8